For SnC2Cl2, the GGA-PBE geometry in the Materials Project gives the simulated powder X-ray diffraction pattern in this record (Cu Ka).
Kinematic intensities with the Lorentz-polarization factor, no thermal factor.

Structural model:
Unit cell a=8.480 b=10.551 c=6.424 alpha=90.00 beta=90.00 gamma=90.00
Space group Imma (No. 74)
Symmetry-distinct sites (fractional):
Sn: 0.000 0.250 0.008 [4 per cell]
C: 0.198 0.250 0.817 [8 per cell]
Cl: 0.000 0.080 0.240 [8 per cell]

Largest 8 diffraction maxima, sorted by position, 10° ≤ 2θ ≤ 80°:
16.8 deg, 5.275 Å, intensity 35; 17.3 deg, 5.121 Å, intensity 100; 21.0 deg, 4.240 Å, intensity 61; 24.2 deg, 3.674 Å, intensity 80; 32.6 deg, 2.743 Å, intensity 27; 38.4 deg, 2.345 Å, intensity 25; 38.8 deg, 2.323 Å, intensity 20; 39.1 deg, 2.303 Å, intensity 45



For SnCCl3, the GGA-PBE geometry in the Materials Project gives the simulated powder X-ray diffraction pattern in this record (Cu Ka).
Kinematic intensities with the Lorentz-polarization factor, no thermal factor.

Structural model:
Unit cell a=6.780 b=12.666 c=3.891 alpha=90.00 beta=96.16 gamma=90.00
Space group Cm (No. 8)
Symmetry-distinct sites (fractional):
Sn: 0.000 0.000 0.000 [2 per cell]
C: 0.363 0.500 0.467 [2 per cell]
Cl: 0.346 0.000 0.017 [2 per cell]
Cl: 0.435 0.323 0.301 [4 per cell]

Largest 8 diffraction maxima, sorted by position, 10° ≤ 2θ ≤ 80°:
14.0 deg, 6.333 Å, intensity 47; 14.9 deg, 5.951 Å, intensity 100; 23.0 deg, 3.868 Å, intensity 20; 26.4 deg, 3.370 Å, intensity 23; 27.0 deg, 3.301 Å, intensity 34; 28.7 deg, 3.111 Å, intensity 15; 33.1 deg, 2.705 Å, intensity 21; 49.6 deg, 1.838 Å, intensity 21



For SnCCl3, the GGA-PBE geometry in the Materials Project gives the simulated powder X-ray diffraction pattern in this record (Cu Ka).
Kinematic intensities with the Lorentz-polarization factor, no thermal factor.

Structural model:
Unit cell a=6.4289 b=6.4289 c=10.0390 alpha=90.00 beta=90.00 gamma=120.00
Space group R3m (No. 160, hexagonal axes)
Symmetry-distinct sites (fractional):
Sn: 0.0000 0.0000 0.0000 [3 per cell]
C: 0.0000 0.0000 0.4316 [3 per cell]
Cl: 0.0285 0.5142 0.0153 [9 per cell]

Largest 8 diffraction maxima, sorted by position, 10° ≤ 2θ ≤ 80°:
18.2 deg, 4.869 Å, intensity 46; 23.9 deg, 3.728 Å, intensity 49; 26.6 deg, 3.346 Å, intensity 68; 27.8 deg, 3.214 Å, intensity 33; 33.4 deg, 2.683 Å, intensity 100; 36.9 deg, 2.434 Å, intensity 86; 48.9 deg, 1.864 Å, intensity 33; 64.3 deg, 1.449 Å, intensity 28



For Ti6CCl14, the GGA-PBE geometry in the Materials Project gives the simulated powder X-ray diffraction pattern in this record (Cu Ka).
Kinematic intensities with the Lorentz-polarization factor, no thermal factor.

Structural model:
Unit cell a=13.564 b=12.897 c=11.144 alpha=90.00 beta=90.00 gamma=90.00
Space group Cmce (No. 64)
Symmetry-distinct sites (fractional):
Ti: 0.000 0.135 0.098 [8 per cell]
Ti: 0.113 0.062 0.884 [16 per cell]
C: 0.000 0.000 0.000 [4 per cell]
Cl: 0.000 0.142 0.742 [8 per cell]
Cl: 0.121 0.088 0.241 [16 per cell]
Cl: 0.122 0.226 0.988 [16 per cell]
Cl: 0.247 0.000 0.000 [8 per cell]
Cl: 0.250 0.139 0.750 [8 per cell]

Largest 8 diffraction maxima, sorted by position, 10° ≤ 2θ ≤ 80°:
12.4 deg, 7.161 Å, intensity 100; 26.3 deg, 3.389 Å, intensity 9; 32.1 deg, 2.790 Å, intensity 25; 33.9 deg, 2.642 Å, intensity 19; 36.9 deg, 2.435 Å, intensity 9; 38.6 deg, 2.335 Å, intensity 38; 39.1 deg, 2.307 Å, intensity 8; 50.3 deg, 1.815 Å, intensity 12